No. 1
The following is a theoretical powder XRD pattern of CaSn2S5. It was derived from a DFT-relaxed cell (PBE, the Materials Project), using a wavelength of 1.5418 Å.
Kinematic intensities with the Lorentz-polarization factor, no thermal factor.

Top 10 peaks for 2θ = 10–90°, by angle:
- 2θ = 21.0°, intensity 53, (-1 1 2)
- 2θ = 21.6°, intensity 66, (-1 2 1)
- 2θ = 22.7°, intensity 100, (2 1 1)
- 2θ = 26.1°, intensity 55, (1 2 -1)
- 2θ = 26.2°, intensity 70, (0 1 3)
- 2θ = 26.4°, intensity 44, (1 -1 2)
- 2θ = 27.0°, intensity 43, (0 3 1)
- 2θ = 41.8°, intensity 32, (3 3 0)
- 2θ = 42.5°, intensity 36, (3 0 3)
- 2θ = 44.0°, intensity 36, (1 1 -4)

Cell and atoms:
```
CaSn2S5
1.0
8.5314 0.0000 0.0000
0.8264 9.9042 0.0000
0.4536 3.7442 9.4917
Ca Sn S
4 8 20
direct
0.1441 0.0253 0.2165
0.3208 0.5002 0.3032
0.6792 0.4998 0.6968
0.8559 0.9747 0.7835
0.0000 0.5000 0.0000
0.1326 0.6974 0.5620
0.2586 0.2464 0.7535
0.3734 0.8008 0.9390
0.5000 0.0000 0.5000
0.6266 0.1992 0.0610
0.7414 0.7536 0.2465
0.8674 0.3026 0.4380
0.0491 0.7058 0.3343
0.0707 0.3322 0.2600
0.1136 0.2734 0.9636
0.1623 0.9899 0.8882
0.2051 0.9418 0.5152
0.2957 0.5560 0.9996
0.3435 0.5086 0.6179
0.3779 0.2280 0.5312
0.4252 0.1620 0.2407
0.4468 0.7994 0.1679
0.5532 0.2006 0.8321
0.5748 0.8380 0.7593
0.6221 0.7720 0.4688
0.6565 0.4914 0.3821
0.7043 0.4440 0.0004
0.7949 0.0582 0.4848
0.8377 0.0101 0.1118
0.8864 0.7266 0.0364
0.9293 0.6678 0.7400
0.9509 0.2942 0.6657
```

No. 2
The following is a theoretical powder XRD pattern of CaSnS3. It was derived from a DFT-relaxed cell (PBE, the Materials Project), using a wavelength of 1.5418 Å.
Kinematic intensities with the Lorentz-polarization factor, no thermal factor.

Top 10 peaks for 2θ = 10–90°, by angle:
- 2θ = 14.4°, intensity 44, (0 0 1)
- 2θ = 19.0°, intensity 56, (1 0 0)
- 2θ = 23.9°, intensity 100, (1 0 1)
- 2θ = 27.0°, intensity 32, (1 1 0)
- 2θ = 35.0°, intensity 26, (1 0 2)
- 2θ = 38.5°, intensity 50, (2 0 0)
- 2θ = 40.1°, intensity 52, (1 1 2)
- 2θ = 45.8°, intensity 36, (2 1 1)
- 2θ = 48.5°, intensity 21, (1 0 3)
- 2θ = 52.6°, intensity 21, (1 1 3)

Cell and atoms:
```
CaSnS3
1.0
4.6764 0.0000 0.0000
0.0000 4.6764 0.0000
0.0000 0.0000 6.1425
Ca Sn S
1 1 3
direct
0.0000 0.0000 0.0000
0.5000 0.5000 0.4358
0.0000 0.5000 0.2638
0.5000 0.0000 0.2638
0.5000 0.5000 0.8233
```

No. 3
The following is a theoretical powder XRD pattern of CaSnS3. It was derived from a DFT-relaxed cell (PBE, the Materials Project), using a wavelength of 1.5418 Å.
Kinematic intensities with the Lorentz-polarization factor, no thermal factor.

Top 10 peaks for 2θ = 10–90°, by angle:
- 2θ = 10.2°, intensity 30, (1 0 0)
- 2θ = 11.1°, intensity 27, (1 0 -2)
- 2θ = 15.8°, intensity 24, (1 0 -4)
- 2θ = 24.2°, intensity 100, (2 1 0)
- 2θ = 25.4°, intensity 77, (1 1 -6)
- 2θ = 27.7°, intensity 25, (1 2 -2)
- 2θ = 28.4°, intensity 32, (1 1 -7)
- 2θ = 32.0°, intensity 34, (0 1 8)
- 2θ = 32.8°, intensity 36, (3 1 -2)
- 2θ = 37.0°, intensity 27, (2 2 -6)

Cell and atoms:
```
CaSnS3
1.0
8.8793 0.0000 0.0000
0.0000 7.0330 0.0000
-5.7062 0.0000 24.3593
Ca Sn S
12 12 36
direct
0.0580 0.2406 0.0474
0.0580 0.2594 0.5474
0.1396 0.1721 0.7129
0.1396 0.3279 0.2129
0.3512 0.6510 0.6741
0.3512 0.8490 0.1741
0.6488 0.1510 0.8259
0.6488 0.3490 0.3259
0.8604 0.6721 0.7871
0.8604 0.8279 0.2871
0.9420 0.7406 0.4526
0.9420 0.7594 0.9526
0.1798 0.2181 0.8995
0.1798 0.2819 0.3995
0.3733 0.6208 0.8492
0.3733 0.8792 0.3492
0.4191 0.7236 0.9847
0.4191 0.7764 0.4847
0.5809 0.2236 0.5153
0.5809 0.2764 0.0153
0.6267 0.1208 0.6508
0.6267 0.3792 0.1508
0.8202 0.7181 0.6005
0.8202 0.7819 0.1005
0.0400 0.5012 0.6385
0.0400 0.9988 0.1385
0.1181 0.0980 0.3053
0.1181 0.4020 0.8053
0.1744 0.0257 0.4689
0.1744 0.4743 0.9689
0.1854 0.5319 0.1218
0.1854 0.9681 0.6218
0.2235 0.5109 0.4887
0.2235 0.9891 0.9887
0.3254 0.2109 0.6327
0.3254 0.2891 0.1327
0.3769 0.5864 0.2700
0.3769 0.9136 0.7700
0.4225 0.0956 0.2645
0.4225 0.4044 0.7645
0.4651 0.2500 0.4038
0.4651 0.2500 0.9038
0.5349 0.7500 0.0962
0.5349 0.7500 0.5962
0.5775 0.5956 0.2355
0.5775 0.9044 0.7355
0.6231 0.0864 0.2300
0.6231 0.4136 0.7300
0.6746 0.7109 0.8673
0.6746 0.7891 0.3673
0.7765 0.0109 0.0113
0.7765 0.4891 0.5113
0.8146 0.0319 0.3782
0.8146 0.4681 0.8782
0.8256 0.5257 0.0311
0.8256 0.9743 0.5311
0.8819 0.5980 0.1947
0.8819 0.9020 0.6947
0.9600 0.0012 0.8615
0.9600 0.4988 0.3615
```

No. 4
The following is a theoretical powder XRD pattern of CaSnS3. It was derived from a DFT-relaxed cell (PBE, the Materials Project), using a wavelength of 1.5418 Å.
Kinematic intensities with the Lorentz-polarization factor, no thermal factor.

Top 10 peaks for 2θ = 10–90°, by angle:
- 2θ = 17.7°, intensity 100, (1 0 0)
- 2θ = 24.9°, intensity 23, (1 0 -2)
- 2θ = 25.1°, intensity 64, (1 2 0)
- 2θ = 25.3°, intensity 21, (1 0 2)
- 2θ = 35.8°, intensity 49, (0 4 0)
- 2θ = 40.0°, intensity 17, (1 0 -4)
- 2θ = 40.2°, intensity 29, (2 2 0)
- 2θ = 44.0°, intensity 22, (2 2 -2)
- 2θ = 44.4°, intensity 23, (2 2 2)
- 2θ = 51.6°, intensity 22, (0 4 4)

Cell and atoms:
```
CaSnS3
1.0
5.0238 0.0000 0.0000
0.0000 10.0242 0.0000
-0.1450 0.0000 10.0161
Ca Sn S
4 4 12
direct
0.0000 0.0000 0.0000
0.0054 0.0000 0.4755
0.0146 0.5000 0.0308
0.9656 0.5000 0.6109
0.4024 0.2422 0.7577
0.4024 0.7578 0.7577
0.4150 0.2525 0.2766
0.4150 0.7475 0.2766
0.2095 0.2611 0.5168
0.2095 0.7389 0.5168
0.2619 0.0000 0.7425
0.3020 0.5000 0.2695
0.3473 0.2330 0.0167
0.3473 0.7670 0.0167
0.4451 0.5000 0.7452
0.4764 0.0000 0.3426
0.8918 0.2663 0.8260
0.8918 0.7337 0.8260
0.9022 0.2353 0.1953
0.9022 0.7647 0.1953
```

No. 5
The following is a theoretical powder XRD pattern of CaSnS3. It was derived from a DFT-relaxed cell (PBE, the Materials Project), using a wavelength of 1.5418 Å.
Kinematic intensities with the Lorentz-polarization factor, no thermal factor.

Top 10 peaks for 2θ = 10–90°, by angle:
- 2θ = 24.2°, intensity 100, (1 1 0)
- 2θ = 29.7°, intensity 77, (1 1 1)
- 2θ = 34.5°, intensity 84, (2 0 0)
- 2θ = 42.5°, intensity 47, (2 1 1)
- 2θ = 49.5°, intensity 57, (2 2 0)
- 2θ = 55.9°, intensity 21, (3 1 0)
- 2θ = 58.8°, intensity 32, (3 1 1)
- 2θ = 61.7°, intensity 19, (2 2 2)
- 2θ = 67.3°, intensity 25, (3 2 1)
- 2θ = 83.0°, intensity 26, (4 2 0)

Cell and atoms:
```
CaSnS3
1.0
5.2053 0.0000 0.0000
0.0000 5.2053 0.0000
0.0000 0.0000 5.2053
Ca Sn S
1 1 3
direct
0.0000 0.0000 0.0000
0.5000 0.5000 0.5000
0.0000 0.0000 0.5000
0.0000 0.5000 0.0000
0.5000 0.0000 0.0000
```

No. 6
The following is a theoretical powder XRD pattern of CaSnS3. It was derived from a DFT-relaxed cell (PBE, the Materials Project), using a wavelength of 1.5418 Å.
Kinematic intensities with the Lorentz-polarization factor, no thermal factor.

Top 10 peaks for 2θ = 10–90°, by angle:
- 2θ = 18.2°, intensity 66, (1 0 1)
- 2θ = 18.4°, intensity 28, (0 2 0)
- 2θ = 25.2°, intensity 23, (2 0 0)
- 2θ = 26.0°, intensity 100, (1 2 1)
- 2θ = 30.9°, intensity 22, (0 3 1)
- 2θ = 36.9°, intensity 35, (2 0 2)
- 2θ = 37.3°, intensity 22, (0 4 0)
- 2θ = 40.6°, intensity 24, (3 0 1)
- 2θ = 41.5°, intensity 30, (2 2 2)
- 2θ = 46.5°, intensity 46, (1 2 3)

Cell and atoms:
```
CaSnS3
1.0
7.0636 0.0000 0.0000
0.0000 9.6349 0.0000
0.0000 0.0000 6.7306
Ca Sn S
4 4 12
direct
0.0880 0.2500 0.0314
0.4120 0.7500 0.5314
0.5880 0.2500 0.4686
0.9120 0.7500 0.9686
0.0000 0.0000 0.5000
0.0000 0.5000 0.5000
0.5000 0.0000 0.0000
0.5000 0.5000 0.0000
0.0484 0.7500 0.3669
0.1911 0.5649 0.8140
0.1911 0.9351 0.8140
0.3089 0.0649 0.3140
0.3089 0.4351 0.3140
0.4516 0.2500 0.8669
0.5484 0.7500 0.1331
0.6911 0.5649 0.6860
0.6911 0.9351 0.6860
0.8089 0.0649 0.1860
0.8089 0.4351 0.1860
0.9516 0.2500 0.6331
```